For CePS, a cell relaxed with PBE gives the theoretical powder diffraction line list in this record (λ = 1.5418 Å (Cu Kα)).
Kinematic intensities with the Lorentz-polarization factor, no thermal factor.

Structure:
abc: 5.569 5.471 16.574
angles: 90.00 90.00 90.00
Space group Pnma (No. 62)
Symmetry-distinct sites (fractional):
Ce  0.017  0.250  0.134
Ce  0.019  0.750  0.354
P  0.201  0.033  0.502
S  0.016  0.250  0.313
S  0.016  0.750  0.179

Top 8 peaks for 5 to 70 degrees two-theta, by intensity:
2θ = 25.2°, rel. 100, (1 1 2)
2θ = 40.0°, rel. 43, (1 1 6)
2θ = 39.5°, rel. 32, (0 2 4)
2θ = 39.0°, rel. 31, (2 0 4)
2θ = 21.4°, rel. 30, (0 0 4)
2θ = 46.5°, rel. 28, (2 2 0)
2θ = 32.1°, rel. 23, (2 0 0)
2θ = 32.7°, rel. 22, (0 2 0)